Entry 1:
Structure and theoretical XRD peak list of Lu10Al3Pd (a structure optimized by DFT (GGA-PBE); λ = 1.5418 Å (Cu Kα)).
Peak positions follow from Bragg's law for the DFT cell and can differ from measured ones.

Structural model:
```
Lu10Al3Pd
1.0
9.3703 0.0000 0.0000
-4.6851 8.1149 0.0000
0.0000 0.0000 9.3670
Lu Al Pd
20 6 2
Direct
0.0000 0.0000 0.0000
0.0000 0.0000 0.5000
0.0855 0.5427 0.2500
0.2053 0.4106 0.5552
0.2053 0.4106 0.9448
0.2053 0.7947 0.5552
0.2053 0.7947 0.9448
0.4106 0.2053 0.0552
0.4106 0.2053 0.4448
0.4573 0.5427 0.2500
0.4573 0.9145 0.2500
0.5427 0.0855 0.7500
0.5427 0.4573 0.7500
0.5894 0.7947 0.5552
0.5894 0.7947 0.9448
0.7947 0.2053 0.0552
0.7947 0.2053 0.4448
0.7947 0.5894 0.0552
0.7947 0.5894 0.4448
0.9145 0.4573 0.7500
0.1125 0.2251 0.2500
0.1125 0.8875 0.2500
0.2251 0.1125 0.7500
0.7749 0.8875 0.2500
0.8875 0.1125 0.7500
0.8875 0.7749 0.7500
0.3333 0.6667 0.7500
0.6667 0.3333 0.2500
```

Largest 10 diffraction maxima, in order of rising 2θ, 2θ from 10° to 90°:
Position (°2θ)	Rel. int.
29.1	61
30.7	47
34.5	44
35.0	100
36.3	32
38.4	32
57.6	35
59.2	22
60.1	26
60.4	28

=====

Entry 2:
Structure and theoretical XRD peak list of Ho2AlInFe4 (a structure optimized by DFT (GGA-PBE); λ = 1.5418 Å (Cu Kα)).
Peak positions follow from Bragg's law for the DFT cell and can differ from measured ones.

Structural model:
```
Ho2AlInFe4
1.0
3.9658 0.0000 0.0000
0.0000 4.9715 0.0000
0.0000 0.0000 6.9954
Ho Al In Fe
2 1 1 4
Direct
0.0000 0.0000 0.0000
0.0000 0.5000 0.3966
0.5000 0.0000 0.3671
0.5000 0.5000 0.0475
0.0000 0.0000 0.6009
0.0000 0.5000 0.7793
0.5000 0.2500 0.6908
0.5000 0.7500 0.6908
```

Largest 10 diffraction maxima, in order of rising 2θ, 2θ from 10° to 90°:
Position (°2θ)	Rel. int.
21.9	16
31.6	100
34.2	25
36.1	28
38.6	28
38.8	81
42.8	19
42.9	27
44.7	21
45.8	32

=====

Entry 3:
Structure and theoretical XRD peak list of Ho3In5 (a structure optimized by DFT (GGA-PBE); λ = 1.5418 Å (Cu Kα)).
Peak positions follow from Bragg's law for the DFT cell and can differ from measured ones.

Structural model:
```
Ho3In5
1.0
4.9223 -4.0064 0.0000
4.9223 4.0064 0.0000
0.0000 0.0000 10.3206
Ho In
6 10
Direct
0.1174 0.8826 0.7500
0.2951 0.2951 0.0000
0.2951 0.2951 0.5000
0.7049 0.7049 0.0000
0.7049 0.7049 0.5000
0.8826 0.1174 0.2500
0.0083 0.4288 0.7500
0.1933 0.8067 0.0437
0.1933 0.8067 0.4563
0.4288 0.0083 0.2500
0.4952 0.5048 0.2500
0.5048 0.4952 0.7500
0.5712 0.9917 0.7500
0.8067 0.1933 0.5437
0.8067 0.1933 0.9563
0.9917 0.5712 0.2500
```

Largest 10 diffraction maxima, in order of rising 2θ, 2θ from 10° to 90°:
Position (°2θ)	Rel. int.
30.0	13
33.7	100
34.3	23
34.8	61
36.5	24
39.1	18
39.6	18
58.2	14
61.6	16
67.5	16